The following is a computed X-ray diffraction stick pattern of Tl3ClF2. It was derived from a structure optimized by DFT (PBE), using Cu Kα.

Cell and atoms:
```
12
Lattice="7.336 0.000 0.000 0.000 4.206 0.000 -0.587 0.000 11.824" Properties=species:S:1:pos:R:3 pbc="T T T"
Tl 0.633 1.052 2.354
Tl 1.354 1.052 6.323
Tl 2.325 1.052 10.264
Tl 4.424 3.155 1.560
Tl 5.395 3.155 5.501
Tl 6.117 3.155 9.470
Cl 2.148 3.155 3.752
Cl 4.602 1.052 8.072
F -0.010 3.155 7.202
F 3.070 1.052 0.989
F 3.680 3.155 10.835
F 6.759 1.052 4.622
```

Most intense lines, 10 to 90 degrees two-theta, in order of rising 2θ:
(0 0 3), 22.56 deg, intensity 65; (1 1 0), 24.40 deg, intensity 100; (2 0 -1), 25.10 deg, intensity 95; (1 1 -1), 25.37 deg, intensity 52; (2 0 2), 29.31 deg, intensity 55; (1 1 -3), 33.04 deg, intensity 55